HfZr8Te2: theoretical powder XRD pattern (a wavelength of 1.5418 Å), based on a structure optimized by DFT (GGA-PBE).
Lines closer than 0.1° are merged.

The 10 most intense peaks (2θ from 10° to 90°), in order of falling intensity:
Position (°2θ)  Rel. int.
34.13  100
33.31  98
39.72  80
36.39  56
34.56  52
40.61  40
33.11  40
35.66  32
31.92  28
22.73  27

Atomic structure:
```
HfZr8Te2
1.0
4.1195 -6.3647 0.0000
4.1195 6.3647 0.0000
-1.6627 0.0000 5.0355
Hf Zr Te
1 8 2
Direct
0.0000 0.0000 0.0000 Hf
0.0821 0.3100 0.6003 Zr
0.2280 0.7720 0.0000 Zr
0.3100 0.0821 0.6003 Zr
0.3814 0.3814 0.1581 Zr
0.6186 0.6186 0.8419 Zr
0.6900 0.9179 0.3997 Zr
0.7720 0.2280 0.0000 Zr
0.9179 0.6900 0.3997 Zr
0.3132 0.6868 0.5000 Te
0.6868 0.3132 0.5000 Te
```

---

Hf3Zr2Te2: theoretical powder XRD pattern (a wavelength of 1.5418 Å), based on a structure optimized by DFT (GGA-PBE).
Lines closer than 0.1° are merged.

The 10 most intense peaks (2θ from 10° to 90°), in order of falling intensity:
Position (°2θ)  Rel. int.
34.17  100
35.89  100
39.34  33
35.45  29
46.58  26
17.88  17
62.57  17
42.85  16
32.60  15
65.40  14

Atomic structure:
```
Hf3Zr2Te2
1.0
10.8729 0.0000 0.0000
0.0000 3.8994 0.0000
-2.0721 0.0000 7.4942
Hf Zr Te
6 4 4
Direct
0.0000 0.0000 0.0000 Hf
0.1258 0.0000 0.4502 Hf
0.3742 0.5000 0.5498 Hf
0.5000 0.5000 0.0000 Hf
0.6258 0.5000 0.4502 Hf
0.8742 0.0000 0.5498 Hf
0.0970 0.5000 0.7534 Zr
0.4030 0.0000 0.2466 Zr
0.5970 0.0000 0.7534 Zr
0.9030 0.5000 0.2466 Zr
0.1817 0.5000 0.1929 Te
0.3183 0.0000 0.8071 Te
0.6817 0.0000 0.1929 Te
0.8183 0.5000 0.8071 Te
```